[1]
For PrCu6, a PBE-relaxed structure gives the computed powder diffraction line list in this record (Cu Kα).

Structural model:
```
data_PrCu6
_chemical_formula_sum 'Pr4 Cu24'
_cell_length_a 5.089
_cell_length_b 10.190
_cell_length_c 8.079
_cell_angle_alpha 90.00
_cell_angle_beta 91.34
_cell_angle_gamma 90.00
_symmetry_space_group_name_H-M 'P 1 21/c 1'
_symmetry_Int_Tables_number 14
_symmetry_space_group_name_Hall '-P 2ybc'
loop_
_atom_site_label
_atom_site_type_symbol
_atom_site_fract_x
_atom_site_fract_y
_atom_site_fract_z
_atom_site_occupancy
Pr1 Pr 0.242 0.065 0.239 1
Cu1 Cu 0.003 0.192 0.567 1
Cu2 Cu 0.250 0.744 0.682 1
Cu3 Cu 0.251 0.516 0.099 1
Cu4 Cu 0.257 0.142 0.852 1
Cu5 Cu 0.270 0.597 0.436 1
Cu6 Cu 0.493 0.189 0.563 1
```

Main lines, most intense first (10° ≤ 2θ ≤ 80°):
two_theta  I (rel.)  hkl
39.20  100.0  1 1 3
37.00  62.5  0 4 1
38.49  56.1  1 1 -3
45.79  52.6  0 1 4
45.94  47.8  0 5 1
38.66  43.3  1 3 -2
35.28  40.0  2 0 0
39.60  31.8  2 2 0
42.47  31.2  2 0 2
31.67  28.3  1 3 0

[2]
For Ga2Te2Br7, a PBE-relaxed structure gives the computed powder diffraction line list in this record (Cu Kα).

Structural model:
```
data_Ga2Te2Br7
_chemical_formula_sum 'Ga8 Te8 Br28'
_cell_length_a 10.473
_cell_length_b 11.739
_cell_length_c 14.376
_cell_angle_alpha 90.00
_cell_angle_beta 98.87
_cell_angle_gamma 90.00
_symmetry_space_group_name_H-M 'P 1 21/c 1'
_symmetry_Int_Tables_number 14
_symmetry_space_group_name_Hall '-P 2ybc'
loop_
_atom_site_label
_atom_site_type_symbol
_atom_site_fract_x
_atom_site_fract_y
_atom_site_fract_z
_atom_site_occupancy
Ga1 Ga 0.094 0.183 0.181 1
Ga2 Ga 0.284 0.608 0.336 1
Te1 Te 0.351 0.057 0.548 1
Te2 Te 0.420 0.036 0.373 1
Br1 Br 0.014 0.146 0.616 1
Br2 Br 0.070 0.532 0.367 1
Br3 Br 0.133 0.177 0.348 1
Br4 Br 0.255 0.742 0.216 1
Br5 Br 0.276 0.119 0.120 1
Br6 Br 0.381 0.060 0.785 1
Br7 Br 0.387 0.670 0.481 1
```

Main lines, most intense first (10° ≤ 2θ ≤ 80°):
two_theta  I (rel.)  hkl
28.01  100.0  3 1 -2
25.46  73.3  1 3 1
17.37  52.9  1 2 0
16.34  47.3  0 2 1
13.62  45.2  1 1 1
28.60  44.1  2 3 0
23.05  43.1  2 2 -1
42.28  42.1  2 5 0
34.46  40.0  2 1 -5
46.45  36.1  5 2 -2

[3]
For UVN2, a PBE-relaxed structure gives the computed powder diffraction line list in this record (Cu Kα).

Structural model:
```
data_UVN2
_chemical_formula_sum 'U4 V4 N8'
_cell_length_a 5.447
_cell_length_b 3.157
_cell_length_c 10.688
_cell_angle_alpha 90.00
_cell_angle_beta 90.00
_cell_angle_gamma 90.00
_symmetry_space_group_name_H-M 'P n m a'
_symmetry_Int_Tables_number 62
_symmetry_space_group_name_Hall '-P 2ac 2n'
loop_
_atom_site_label
_atom_site_type_symbol
_atom_site_fract_x
_atom_site_fract_y
_atom_site_fract_z
_atom_site_occupancy
U1 U 0.079 0.250 0.143 1
V1 V 0.076 0.750 0.402 1
N1 N 0.164 0.250 0.754 1
N2 N 0.241 0.250 0.493 1
```

Main lines, most intense first (10° ≤ 2θ ≤ 80°):
two_theta  I (rel.)  hkl
36.96  100.0  1 1 2
29.97  44.2  1 0 3
33.94  40.3  2 0 1
18.28  35.6  1 0 1
29.50  28.8  0 1 1
41.70  28.4  2 0 3
33.54  26.8  0 0 4
51.64  19.1  0 1 5
23.32  18.1  1 0 2
59.35  16.5  3 1 1